Entry 1:
The following is a computed X-ray diffraction stick pattern of RbTiHSe2. It was derived from a cell relaxed with GGA-PBE, using Cu Kα X-rays.

Principal peaks in the range 2θ = 15–90°, most intense first:
| hkl | 2theta | Rel. int. |
| --- | --- | --- |
| 0 1 2 | 31.6 | 100 |
| 2 0 0 | 25.3 | 36 |
| 2 0 1 | 30.3 | 33 |
| 0 0 3 | 30.8 | 24 |
| 2 0 -1 | 24.1 | 23 |
| 2 1 -3 | 41.3 | 23 |
| 0 1 1 | 26.0 | 22 |
| 2 1 0 | 35.1 | 22 |
| 0 2 0 | 48.9 | 18 |
| 2 1 3 | 52.9 | 18 |

Atomic structure:
```
10
Lattice="7.418 0.000 0.000 0.000 3.726 0.000 -2.918 0.000 8.701" Properties=species:S:1:pos:R:3 pbc="T T T"
Rb 0.338 0.931 2.625
Rb 4.162 2.794 6.076
Ti 0.193 0.931 7.272
Ti 4.307 2.794 1.429
H -1.516 0.931 6.859
H 6.016 2.794 1.842
Se 2.104 2.794 0.137
Se 0.576 2.794 5.613
Se 3.924 0.931 3.087
Se 2.396 0.931 8.563
```

Entry 2:
The following is a computed X-ray diffraction stick pattern of RbYH2Se. It was derived from a cell relaxed with GGA-PBE, using Cu Kα X-rays.

Principal peaks in the range 2θ = 15–90°, most intense first:
| hkl | 2theta | Rel. int. |
| --- | --- | --- |
| 1 1 0 | 27.2 | 100 |
| 1 1 2 | 42.9 | 57 |
| 2 0 0 | 38.8 | 40 |
| 1 0 1 | 25.1 | 37 |
| 2 0 2 | 51.5 | 34 |
| 0 0 2 | 32.5 | 33 |
| 1 0 0 | 19.1 | 27 |
| 3 1 2 | 73.1 | 23 |
| 3 1 0 | 63.4 | 18 |
| 2 2 2 | 66.4 | 16 |

Atomic structure:
```
5
Lattice="4.637 0.000 0.000 0.000 4.637 0.000 0.000 0.000 5.509" Properties=species:S:1:pos:R:3 pbc="T T T"
Rb 0.000 0.000 0.000
Y 2.318 2.318 2.754
H 0.000 2.318 2.754
H 2.318 0.000 2.754
Se 2.318 2.318 0.000
```

Entry 3:
The following is a computed X-ray diffraction stick pattern of RbSiH. It was derived from a cell relaxed with GGA-PBE, using Cu Kα X-rays.

Principal peaks in the range 2θ = 15–90°, most intense first:
| hkl | 2theta | Rel. int. |
| --- | --- | --- |
| 1 1 0 | 27.8 | 100 |
| 0 1 -1 | 26.5 | 75 |
| 0 1 2 | 26.6 | 40 |
| 0 2 1 | 30.3 | 40 |
| 0 0 2 | 29.1 | 17 |
| 2 2 1 | 55.2 | 14 |
| 2 0 0 | 44.9 | 14 |
| 0 1 1 | 16.7 | 14 |
| 1 1 2 | 34.8 | 13 |
| 1 2 2 | 40.7 | 13 |

Atomic structure:
```
6
Lattice="4.037 0.000 0.000 0.001 5.891 0.000 0.024 2.906 6.127" Properties=species:S:1:pos:R:3 pbc="T T T"
Rb 0.000 0.000 0.000
Rb 2.020 5.853 3.625
Si 2.019 2.789 1.136
Si 4.038 2.763 2.496
H 2.020 4.130 0.327
H 4.038 4.065 3.365
```

Entry 4:
The following is a computed X-ray diffraction stick pattern of RbSiH. It was derived from a cell relaxed with GGA-PBE, using Cu Kα X-rays.

Principal peaks in the range 2θ = 15–90°, most intense first:
| hkl | 2theta | Rel. int. |
| --- | --- | --- |
| 1 0 -2 | 27.4 | 100 |
| 1 1 -1 | 28.0 | 39 |
| 2 0 -1 | 30.1 | 37 |
| 1 0 1 | 25.4 | 37 |
| 0 1 1 | 26.4 | 36 |
| 1 1 1 | 33.9 | 19 |
| 0 1 2 | 36.7 | 18 |
| 2 1 -2 | 41.3 | 18 |
| 2 2 -1 | 55.0 | 17 |
| 0 0 2 | 29.0 | 16 |

Atomic structure:
```
6
Lattice="5.946 0.000 0.000 0.000 4.038 0.000 -2.505 0.000 6.163" Properties=species:S:1:pos:R:3 pbc="T T T"
Rb 0.111 1.010 1.801
Rb 3.330 3.029 4.361
Si 0.108 1.010 5.523
Si 3.333 3.029 0.640
H 2.137 3.029 1.641
H 1.304 1.010 4.522
```